Li7Mn5O12: computed powder diffraction line list (CuKα), based on a DFT-relaxed cell (PBE+U, Alexandria).
Lines closer than 0.1° are merged.

Main lines, by angle (10° ≤ 2θ ≤ 90°):
d_spacing	I_rel	hkl
4.856	100	0 0 2
2.595	19	1 -1 1
2.479	23	2 1 0
2.427	8	-1 1 1
2.174	34	1 -1 3
2.053	58	1 2 3
1.930	10	2 1 4
1.588	10	1 2 5
1.493	33	2 1 6
1.442	12	3 3 1

```
Li7Mn5O12
1.0
5.056 0.000 0.000
2.345 4.479 0.000
1.924 -0.396 9.711
Li Mn O
7 5 12
Cartesian
0.000 0.000 0.000
2.633 1.155 7.315
1.706 -0.090 2.397
5.122 2.680 7.355
4.203 1.403 2.357
7.619 4.174 7.314
6.692 2.928 2.396
3.369 2.787 4.865
4.382 1.092 9.711
3.490 -0.198 4.856
4.943 2.991 0.000
5.956 1.297 4.847
3.442 2.468 8.650
4.250 4.115 6.028
2.484 1.461 3.713
3.334 2.845 1.086
6.083 4.067 8.650
4.374 1.122 5.992
4.951 2.961 3.719
3.242 0.016 1.061
5.991 1.238 8.625
6.841 2.622 5.999
5.075 -0.031 3.683
5.883 1.616 1.062
```